Starting from DFT lattice parameters and positions (PBE+U), the powder diffractogram of Na5LiCo2P2C2O14 was calculated for Cu Kα, 1.54184 Å.
Peak positions follow from Bragg's law for the DFT cell and can differ from measured ones.

Atomic structure:
a = 5.1961 Å, b = 6.7187 Å, c = 8.8453 Å
α = 90.00°, β = 92.65°, γ = 90.00°
Fractional coordinates of all 26 atoms:
Na: 0.0000 0.0000 0.0000
Na: 0.4899 0.2438 0.8146
Na: 0.4899 0.7562 0.8146
Na: 0.9681 0.2580 0.3488
Na: 0.9681 0.7420 0.3488
Li: 0.4501 0.5000 0.1901
Co: 0.0108 0.5000 0.7348
Co: 0.4473 0.0000 0.4304
P: 0.5101 0.5000 0.4938
P: 0.9501 0.0000 0.6664
C: 0.5123 0.0000 0.1433
C: 0.9290 0.5000 0.0328
O: 0.0259 0.1857 0.7650
O: 0.0259 0.8143 0.7650
O: 0.0824 0.0000 0.5139
O: 0.1756 0.5000 0.0137
O: 0.2866 0.0000 0.2020
O: 0.3725 0.5000 0.6454
O: 0.4327 0.3169 0.3926
O: 0.4327 0.6831 0.3926
O: 0.5342 0.0000 0.9986
O: 0.6506 0.0000 0.6350
O: 0.7155 0.0000 0.2354
O: 0.7695 0.5000 0.9133
O: 0.8071 0.5000 0.5271
O: 0.8355 0.5000 0.1659

The 8 most intense peaks (10° ≤ 2θ ≤ 90°), low angle first:
| 2θ/deg | I/Imax |
| --- | --- |
| 10.01 | 1000 |
| 16.58 | 261 |
| 20.24 | 255 |
| 26.53 | 702 |
| 33.10 | 389 |
| 33.55 | 821 |
| 34.56 | 461 |
| 38.26 | 328 |


Starting from DFT lattice parameters and positions (PBE+U), the powder diffractogram of NaLi2CoPCO7 was calculated for Cu Kα, 1.54184 Å.
Peak positions follow from Bragg's law for the DFT cell and can differ from measured ones.

Atomic structure:
a = 5.0947 Å, b = 6.5961 Å, c = 8.5220 Å
α = 90.00°, β = 95.28°, γ = 90.00°
Fractional coordinates of all 26 atoms:
Na: 0.2260 0.0000 0.2663
Na: 0.7740 0.5000 0.7337
Li: 0.2298 0.4738 0.2754
Li: 0.2939 0.7483 0.8969
Li: 0.7061 0.2483 0.1031
Li: 0.7702 0.9738 0.7246
Co: 0.2909 0.2272 0.6619
Co: 0.7091 0.7272 0.3381
P: 0.2316 0.7352 0.5893
P: 0.7684 0.2352 0.4107
C: 0.1809 0.2396 0.9538
C: 0.8191 0.7396 0.0462
O: 0.0100 0.2164 0.8304
O: 0.0737 0.2606 0.4411
O: 0.0993 0.2635 0.0919
O: 0.2997 0.5472 0.6963
O: 0.3484 0.9163 0.6917
O: 0.3496 0.7206 0.4294
O: 0.4290 0.2392 0.9308
O: 0.5710 0.7392 0.0692
O: 0.6504 0.2206 0.5706
O: 0.6516 0.4163 0.3083
O: 0.7003 0.0472 0.3037
O: 0.9007 0.7635 0.9081
O: 0.9263 0.7606 0.5589
O: 0.9900 0.7164 0.1696

The 8 most intense peaks (10° ≤ 2θ ≤ 90°), low angle first:
| 2θ/deg | I/Imax |
| --- | --- |
| 10.42 | 1000 |
| 17.03 | 314 |
| 21.22 | 453 |
| 26.11 | 292 |
| 27.04 | 790 |
| 34.45 | 256 |
| 36.01 | 325 |
| 40.30 | 294 |


Starting from DFT lattice parameters and positions (PBE+U), the powder diffractogram of Na5LiCo2P2C2O14 was calculated for Cu Kα, 1.54184 Å.
Peak positions follow from Bragg's law for the DFT cell and can differ from measured ones.

Atomic structure:
a = 5.1830 Å, b = 6.6475 Å, c = 8.8764 Å
α = 89.08°, β = 88.93°, γ = 89.89°
Fractional coordinates of all 26 atoms:
Na: 0.0000 0.0000 0.0000
Na: 0.0007 0.5098 0.0014
Na: 0.0149 0.2411 0.3478
Na: 0.4864 0.7650 0.1839
Na: 0.5035 0.5061 0.5262
Li: 0.4726 0.0311 0.5577
Co: 0.0335 0.7587 0.6127
Co: 0.4686 0.2558 0.9103
P: 0.5480 0.7600 0.8453
P: 0.9620 0.2524 0.6792
C: 0.5235 0.2459 0.2098
C: 0.9741 0.7569 0.3273
O: 0.0183 0.4460 0.5834
O: 0.0702 0.0745 0.5848
O: 0.0892 0.2594 0.8351
O: 0.2017 0.7476 0.3870
O: 0.3032 0.2521 0.1407
O: 0.4167 0.7701 0.6898
O: 0.4666 0.9403 0.9460
O: 0.4709 0.5670 0.9379
O: 0.5307 0.2377 0.3556
O: 0.6619 0.2292 0.7020
O: 0.7345 0.2479 0.1277
O: 0.7742 0.7735 0.4175
O: 0.8471 0.7610 0.8201
O: 0.9487 0.7509 0.1827

The 8 most intense peaks (10° ≤ 2θ ≤ 90°), low angle first:
| 2θ/deg | I/Imax |
| --- | --- |
| 19.68 | 326 |
| 20.00 | 338 |
| 26.20 | 300 |
| 26.83 | 1000 |
| 33.38 | 434 |
| 33.62 | 321 |
| 34.62 | 886 |
| 55.28 | 364 |


Starting from DFT lattice parameters and positions (PBE+U), the powder diffractogram of Li2CoC2O6 was calculated for Cu Kα, 1.54184 Å.
Peak positions follow from Bragg's law for the DFT cell and can differ from measured ones.

Atomic structure:
a = 5.0746 Å, b = 6.3003 Å, c = 7.8347 Å
α = 87.36°, β = 86.91°, γ = 72.63°
Fractional coordinates of all 22 atoms:
Li: 0.0000 0.0000 0.0000
Li: 0.1415 0.2360 0.5595
Li: 0.3593 0.8498 0.2781
Li: 0.5217 0.5093 0.8025
Co: 0.0849 0.4881 0.1817
Co: 0.6675 0.0143 0.6567
C: 0.3951 0.1272 0.9351
C: 0.6050 0.4210 0.4203
C: 0.8736 0.9058 0.3704
C: 0.9179 0.6177 0.8844
O: 0.0269 0.9570 0.4789
O: 0.1577 0.6385 0.9186
O: 0.2621 0.0952 0.8051
O: 0.2814 0.1438 0.0878
O: 0.4337 0.5089 0.3033
O: 0.5158 0.3455 0.5659
O: 0.6199 0.9218 0.4164
O: 0.6471 0.1342 0.9030
O: 0.7965 0.5212 0.9996
O: 0.7972 0.6871 0.7423
O: 0.8637 0.4106 0.4005
O: 0.9735 0.8379 0.2198

The 8 most intense peaks (10° ≤ 2θ ≤ 90°), low angle first:
| 2θ/deg | I/Imax |
| --- | --- |
| 18.33 | 877 |
| 18.90 | 770 |
| 19.85 | 973 |
| 21.18 | 1000 |
| 22.01 | 543 |
| 29.73 | 517 |
| 31.55 | 496 |
| 32.25 | 326 |


Starting from DFT lattice parameters and positions (PBE+U), the powder diffractogram of LiCo2C4O12 was calculated for Cu Kα, 1.54184 Å.
Peak positions follow from Bragg's law for the DFT cell and can differ from measured ones.

Atomic structure:
a = 5.2746 Å, b = 7.1348 Å, c = 7.5948 Å
α = 90.69°, β = 96.40°, γ = 107.45°
Fractional coordinates of all 19 atoms:
Li: 0.0000 0.0000 0.0000
Co: 0.1197 0.6936 0.6250
Co: 0.6236 0.2108 0.1273
C: 0.4108 0.0303 0.3559
C: 0.4217 0.8436 0.8742
C: 0.8258 0.3507 0.8791
C: 0.8388 0.5489 0.3730
O: 0.0734 0.5264 0.4132
O: 0.1816 0.8650 0.8458
O: 0.2819 0.0742 0.2088
O: 0.3049 0.9487 0.4828
O: 0.4624 0.7226 0.7602
O: 0.5691 0.3088 0.8989
O: 0.6024 0.9338 0.9986
O: 0.6719 0.0951 0.3476
O: 0.6730 0.4657 0.2375
O: 0.7840 0.6680 0.4827
O: 0.9316 0.4350 0.7530
O: 0.9542 0.2867 0.0148

The 8 most intense peaks (10° ≤ 2θ ≤ 90°), low angle first:
| 2θ/deg | I/Imax |
| --- | --- |
| 17.14 | 699 |
| 17.98 | 611 |
| 18.58 | 1000 |
| 20.11 | 333 |
| 22.51 | 209 |
| 28.28 | 151 |
| 29.04 | 188 |
| 36.45 | 119 |


Starting from DFT lattice parameters and positions (PBE+U), the powder diffractogram of LiCoCO4 was calculated for Cu Kα, 1.54184 Å.
Peak positions follow from Bragg's law for the DFT cell and can differ from measured ones.

Atomic structure:
a = 8.1276 Å, b = 8.1276 Å, c = 5.7805 Å
α = 90.00°, β = 90.00°, γ = 119.11°
Fractional coordinates of all 28 atoms:
Li: 0.0178 0.1805 0.0000
Li: 0.1805 0.0178 0.5000
Li: 0.8195 0.9822 0.5000
Li: 0.9822 0.8195 0.0000
Co: 0.2528 0.6773 0.2739
Co: 0.3227 0.7472 0.7739
Co: 0.6773 0.2528 0.7739
Co: 0.7472 0.3227 0.2739
C: 0.1613 0.3644 0.5691
C: 0.3644 0.1613 0.0691
C: 0.6356 0.8387 0.0691
C: 0.8387 0.6356 0.5691
O: 0.0810 0.1903 0.6272
O: 0.1318 0.4129 0.3636
O: 0.1568 0.7107 0.9993
O: 0.1903 0.0810 0.1272
O: 0.2717 0.4913 0.7165
O: 0.2893 0.8432 0.4993
O: 0.4129 0.1318 0.8636
O: 0.4913 0.2717 0.2165
O: 0.5087 0.7283 0.2165
O: 0.5871 0.8682 0.8636
O: 0.7107 0.1568 0.4993
O: 0.7283 0.5087 0.7165
O: 0.8097 0.9190 0.1272
O: 0.8432 0.2893 0.9993
O: 0.8682 0.5871 0.3636
O: 0.9190 0.8097 0.6272

The 8 most intense peaks (10° ≤ 2θ ≤ 90°), low angle first:
| 2θ/deg | I/Imax |
| --- | --- |
| 12.63 | 1000 |
| 21.58 | 172 |
| 21.87 | 461 |
| 25.08 | 579 |
| 26.82 | 368 |
| 33.51 | 326 |
| 33.58 | 275 |
| 38.21 | 247 |